Diffraction record for Na5H3C4O12. The XRD peak list is calculated, not measured: it uses a PBE-relaxed structure and Cu Kα (weighted mean of Kα1 and Kα2).
Neutral-atom scattering factors, no anomalous dispersion.

Most intense lines, 2θ = 15–90°, sorted by position:
- d = 2.982 Å, I 99, hkl 0 2 -5
- d = 2.966 Å, I 80, hkl 1 1 -3
- d = 2.939 Å, I 70, hkl 1 1 1
- d = 2.823 Å, I 67, hkl -1 1 3
- d = 2.683 Å, I 73, hkl 1 1 2
- d = 2.664 Å, I 100, hkl 1 2 -3

Atomic structure:
```
data_Na5H3C4O12
_symmetry_space_group_name_H-M 'P -1'
_symmetry_Int_Tables_number 2
_cell_length_a 3.511
_cell_length_b 10.134
_cell_length_c 15.725
_cell_angle_alpha 107.76
_cell_angle_beta 95.55
_cell_angle_gamma 95.14
loop_
_symmetry_equiv_pos_as_xyz
'x,y,z'
'-x,-y,-z'
loop_
_atom_site_label
_atom_site_type_symbol
_atom_site_fract_x
_atom_site_fract_y
_atom_site_fract_z
_atom_site_occupancy
Na1 Na 0.072 0.286 0.192 1
Na2 Na 0.272 0.248 0.977 1
Na3 Na 0.286 0.173 0.548 1
Na4 Na 0.312 0.682 0.599 1
Na5 Na 0.320 0.782 0.220 1
H1 H 0.000 0.000 0.000 1
H2 H 0.000 0.500 0.000 1
H3 H 0.226 0.970 0.751 1
H4 H 0.498 0.546 0.259 1
C1 C 0.083 0.025 0.362 1
C2 C 0.259 0.495 0.881 1
C3 C 0.262 0.563 0.371 1
C4 C 0.361 0.031 0.123 1
O1 O 0.121 0.041 0.721 1
O2 O 0.125 0.157 0.391 1
O3 O 0.145 0.571 0.958 1
O4 O 0.191 0.088 0.066 1
O5 O 0.195 0.647 0.444 1
O6 O 0.197 0.430 0.346 1
O7 O 0.214 0.945 0.403 1
O8 O 0.238 0.363 0.862 1
O9 O 0.320 0.899 0.105 1
O10 O 0.389 0.562 0.830 1
O11 O 0.426 0.622 0.313 1
O12 O 0.442 0.883 0.803 1
```